Simulated powder X-ray diffraction pattern of Na2CrNiO4 for Cu Kα, from a GGA+U-relaxed structure.
Peak positions follow from Bragg's law for the DFT cell and can differ from measured ones.

Atomic structure:
Cell: 5.259 3.009 5.627 Å, 90.00 108.81 90.00°
Space group P2/m (No. 10)
Unique sites:
Na 0.000 0.000 0.000 (multiplicity 1)
Na 0.500 0.500 0.000 (multiplicity 1)
Cr 0.000 0.500 0.500 (multiplicity 1)
Ni 0.500 0.000 0.500 (multiplicity 1)
O 0.221 0.000 0.705 (multiplicity 2)
O 0.259 0.500 0.309 (multiplicity 2)

Largest 6 diffraction maxima, by angle, 2θ = 10–90°:
d [Å], two_theta, intensity
5.326, 16.6, 93.5
2.487, 36.1, 47.8
2.208, 40.9, 52.0
2.180, 41.4, 100.0
1.591, 58.0, 27.8
1.515, 61.2, 27.4